The following is a computed powder XRD pattern of KB2PbF8. It was derived from DFT lattice parameters and positions (GGA-PBE), using copper Kα.
Peak positions follow from Bragg's law for the DFT cell and can differ from measured ones.

Peak list (12 most intense, 2θ = 15–90°, low angle first)
- 21.86°, d 4.066, rel. 50
- 22.51°, d 3.950, rel. 43
- 24.94°, d 3.570, rel. 100
- 26.63°, d 3.347, rel. 40
- 33.03°, d 2.712, rel. 34
- 37.35°, d 2.408, rel. 17
- 37.95°, d 2.371, rel. 24
- 38.08°, d 2.363, rel. 23
- 39.13°, d 2.302, rel. 17
- 42.50°, d 2.127, rel. 53
- 47.68°, d 1.907, rel. 17
- 68.60°, d 1.368, rel. 19

Structural model:
Unit cell a=10.0126 b=10.0126 c=10.0126 alpha=27.39 beta=27.39 gamma=27.39
Sites, in units of the cell vectors:
K 0.0000 0.0000 0.0000
B 0.2599 0.2599 0.2599
B 0.7401 0.7401 0.7401
Pb 0.5000 0.5000 0.5000
F 0.0402 0.7515 0.4748
F 0.2485 0.5252 0.9598
F 0.3095 0.3095 0.3095
F 0.4748 0.0402 0.7515
F 0.5252 0.9598 0.2485
F 0.6905 0.6905 0.6905
F 0.7515 0.4748 0.0402
F 0.9598 0.2485 0.5252

=====

The following is a computed powder XRD pattern of Rb3Sn4Sb2. It was derived from DFT lattice parameters and positions (GGA-PBE), using copper Kα.
Peak positions follow from Bragg's law for the DFT cell and can differ from measured ones.

Peak list (12 most intense, 2θ = 15–90°, low angle first)
- 25.83°, d 3.449, rel. 100
- 27.25°, d 3.273, rel. 68
- 27.72°, d 3.218, rel. 34
- 28.09°, d 3.176, rel. 71
- 28.81°, d 3.099, rel. 38
- 32.07°, d 2.791, rel. 54
- 32.19°, d 2.781, rel. 52
- 33.22°, d 2.697, rel. 69
- 36.88°, d 2.437, rel. 51
- 39.02°, d 2.308, rel. 66
- 46.23°, d 1.964, rel. 41
- 47.43°, d 1.917, rel. 41

Structural model:
Unit cell a=4.6220 b=7.6955 c=10.6217 alpha=78.90 beta=80.22 gamma=72.58
Sites, in units of the cell vectors:
Rb 0.0000 0.0000 0.0000
Rb 0.3682 0.8705 0.3594
Rb 0.6318 0.1295 0.6406
Sn 0.0576 0.4963 0.3450
Sn 0.3102 0.4254 0.9279
Sn 0.6898 0.5746 0.0721
Sn 0.9424 0.5037 0.6550
Sb 0.3070 0.7294 0.7123
Sb 0.6930 0.2706 0.2877

=====

The following is a computed powder XRD pattern of KCd3. It was derived from DFT lattice parameters and positions (GGA-PBE), using copper Kα.
Peak positions follow from Bragg's law for the DFT cell and can differ from measured ones.

Peak list (12 most intense, 2θ = 15–90°, low angle first)
- 29.29°, d 3.049, rel. 48
- 30.26°, d 2.954, rel. 100
- 34.59°, d 2.593, rel. 19
- 36.13°, d 2.486, rel. 34
- 37.63°, d 2.391, rel. 65
- 38.79°, d 2.322, rel. 30
- 41.05°, d 2.199, rel. 14
- 42.93°, d 2.107, rel. 13
- 47.14°, d 1.928, rel. 22
- 50.82°, d 1.797, rel. 13
- 59.75°, d 1.548, rel. 23
- 63.93°, d 1.456, rel. 12

Structural model:
Unit cell a=5.3579 b=5.3579 c=6.8573 alpha=99.36 beta=99.36 gamma=39.18
Sites, in units of the cell vectors:
K 0.0000 0.0000 0.0000
Cd 0.2345 0.2345 0.6779
Cd 0.5000 0.5000 0.5000
Cd 0.7655 0.7655 0.3221

=====

The following is a computed powder XRD pattern of BeCoCl3. It was derived from DFT lattice parameters and positions (GGA-PBE), using copper Kα.
Peak positions follow from Bragg's law for the DFT cell and can differ from measured ones.

Peak list (12 most intense, 2θ = 15–90°, low angle first)
- 19.77°, d 4.490, rel. 3
- 28.10°, d 3.175, rel. 10
- 34.60°, d 2.593, rel. 100
- 40.16°, d 2.245, rel. 55
- 45.15°, d 2.008, rel. 3
- 49.74°, d 1.833, rel. 4
- 58.10°, d 1.588, rel. 33
- 65.76°, d 1.420, rel. 2
- 69.42°, d 1.354, rel. 32
- 72.99°, d 1.296, rel. 11
- 79.94°, d 1.200, rel. 2
- 86.74°, d 1.123, rel. 5

Structural model:
Unit cell a=4.4904 b=4.4904 c=4.4904 alpha=90.00 beta=90.00 gamma=90.00
Sites, in units of the cell vectors:
Be 0.0000 0.0000 0.0000
Co 0.5000 0.5000 0.5000
Cl 0.0000 0.0000 0.5000
Cl 0.0000 0.5000 0.0000
Cl 0.5000 0.0000 0.0000